Theoretical X-ray powder pattern of CaZrS3 for Cu Kα (λ = 1.5418 Å), from DFT lattice parameters and positions (PBE).
Kinematic intensities with the Lorentz-polarization factor, no thermal factor.

The 6 most intense peaks (15 to 90 degrees two-theta), in order of rising 2θ:
d 4.826, 2θ = 18.39°, intensity 89, (1 0 1); d 3.413, 2θ = 26.11°, intensity 100, (1 2 1); d 2.413, 2θ = 37.26°, intensity 67, (0 4 0); d 2.222, 2θ = 40.59°, intensity 32, (3 0 1); d 2.159, 2θ = 41.85°, intensity 48, (2 2 2); d 1.924, 2θ = 47.24°, intensity 50, (1 2 3)

Structure:
a b c (Å): 7.082 9.662 6.588
angles (deg): 90.00 90.00 90.00
Atoms (fractional coordinates):
Ca 0.093 0.250 0.033
Ca 0.407 0.750 0.533
Ca 0.593 0.250 0.467
Ca 0.907 0.750 0.967
Zr 0.000 0.000 0.500
Zr 0.000 0.500 0.500
Zr 0.500 0.000 0.000
Zr 0.500 0.500 0.000
S 0.034 0.750 0.375
S 0.191 0.564 0.817
S 0.191 0.936 0.817
S 0.309 0.064 0.317
S 0.309 0.436 0.317
S 0.466 0.250 0.875
S 0.534 0.750 0.125
S 0.691 0.564 0.683
S 0.691 0.936 0.683
S 0.809 0.064 0.183
S 0.809 0.436 0.183
S 0.966 0.250 0.625